# 1
The following is a computed powder X-ray diffraction pattern of BaGa2S4. It was derived from a structure optimized by DFT (GGA-PBE), using CuKα.
Neutral-atom scattering factors, no anomalous dispersion.

Top 10 peaks for 2θ = 10–90°, by angle:
16.63 deg, I 58
22.66 deg, I 85
23.09 deg, I 60
28.31 deg, I 25
29.33 deg, I 29
32.14 deg, I 31
32.39 deg, I 30
37.40 deg, I 100
51.97 deg, I 20
55.75 deg, I 37

Structural model:
```
data_BaGa2S4
_symmetry_space_group_name_H-M 'P 1'
_symmetry_Int_Tables_number 1
_symmetry_space_group_name_Hall 'P 1'
_cell_length_a 6.3106
_cell_length_b 6.3106
_cell_length_c 11.1404
_cell_angle_alpha 90.00
_cell_angle_beta 90.00
_cell_angle_gamma 122.35
loop_
_atom_site_label
_atom_site_fract_x
_atom_site_fract_y
_atom_site_fract_z
Ba1 0.0000 0.0000 0.2500
Ba2 0.0000 0.0000 0.7500
Ga1 0.2593 0.7389 0.0000
Ga2 0.2611 0.7407 0.5000
Ga3 0.7389 0.2593 0.5000
Ga4 0.7407 0.2611 0.0000
S1 0.0000 0.5000 0.1565
S2 0.0000 0.5000 0.8435
S3 0.1415 0.3280 0.5000
S4 0.3280 0.1415 0.0000
S5 0.5000 0.0000 0.3435
S6 0.5000 0.0000 0.6565
S7 0.6720 0.8585 0.0000
S8 0.8585 0.6720 0.5000
```


# 2
The following is a computed powder X-ray diffraction pattern of Ba4Ga2S7. It was derived from a structure optimized by DFT (GGA-PBE), using CuKα.
Neutral-atom scattering factors, no anomalous dispersion.

Top 10 peaks for 2θ = 10–90°, by angle:
19.92 deg, I 28
24.00 deg, I 21
24.71 deg, I 100
31.57 deg, I 24
31.94 deg, I 23
32.34 deg, I 40
32.89 deg, I 18
33.98 deg, I 22
35.96 deg, I 22
50.67 deg, I 20

Structural model:
```
data_Ba4Ga2S7
_symmetry_space_group_name_H-M 'P 1'
_symmetry_Int_Tables_number 1
_symmetry_space_group_name_Hall 'P 1'
_cell_length_a 9.1506
_cell_length_b 7.2087
_cell_length_c 12.0025
_cell_angle_alpha 90.00
_cell_angle_beta 109.13
_cell_angle_gamma 90.00
loop_
_atom_site_label
_atom_site_fract_x
_atom_site_fract_y
_atom_site_fract_z
Ba1 0.0039 0.2500 0.3889
Ba2 0.0759 0.2500 0.9323
Ba3 0.3694 0.7500 0.3898
Ba4 0.4694 0.7500 0.8173
Ba5 0.5306 0.2500 0.1827
Ba6 0.6306 0.2500 0.6102
Ba7 0.9241 0.7500 0.0677
Ba8 0.9961 0.7500 0.6111
Ga1 0.2683 0.2500 0.6880
Ga2 0.3129 0.7500 0.0784
Ga3 0.6871 0.2500 0.9216
Ga4 0.7317 0.7500 0.3120
S1 0.0100 0.2500 0.6574
S2 0.1641 0.7500 0.8855
S3 0.2413 0.0022 0.1642
S4 0.2413 0.4978 0.1642
S5 0.3146 0.9995 0.5885
S6 0.3146 0.5005 0.5885
S7 0.4172 0.2500 0.8889
S8 0.5828 0.7500 0.1111
S9 0.6854 0.0005 0.4115
S10 0.6854 0.4995 0.4115
S11 0.7587 0.5022 0.8358
S12 0.7587 0.9978 0.8358
S13 0.8359 0.2500 0.1145
S14 0.9900 0.7500 0.3426
```


# 3
The following is a computed powder X-ray diffraction pattern of Ba2Ga2S5. It was derived from a structure optimized by DFT (GGA-PBE), using CuKα.
Neutral-atom scattering factors, no anomalous dispersion.

Top 10 peaks for 2θ = 10–90°, by angle:
21.39 deg, I 100
23.57 deg, I 86
23.69 deg, I 80
24.35 deg, I 56
25.37 deg, I 98
29.64 deg, I 60
29.85 deg, I 87
30.87 deg, I 46
32.16 deg, I 53
33.67 deg, I 66

Structural model:
```
data_Ba2Ga2S5
_symmetry_space_group_name_H-M 'P 1'
_symmetry_Int_Tables_number 1
_symmetry_space_group_name_Hall 'P 1'
_cell_length_a 10.8477
_cell_length_b 10.8477
_cell_length_c 8.6427
_cell_angle_alpha 101.01
_cell_angle_beta 101.01
_cell_angle_gamma 87.64
loop_
_atom_site_label
_atom_site_fract_x
_atom_site_fract_y
_atom_site_fract_z
Ba1 0.0183 0.2785 0.3897
Ba2 0.2683 0.4317 0.8949
Ba3 0.2785 0.0183 0.8897
Ba4 0.4317 0.2683 0.3949
Ba5 0.5683 0.7317 0.6051
Ba6 0.7215 0.9817 0.1103
Ba7 0.7317 0.5683 0.1051
Ba8 0.9817 0.7215 0.6103
Ga1 0.0233 0.7722 0.0866
Ga2 0.2278 0.9767 0.4134
Ga3 0.2322 0.6225 0.3839
Ga4 0.3775 0.7678 0.1161
Ga5 0.6225 0.2322 0.8839
Ga6 0.7678 0.3775 0.6161
Ga7 0.7722 0.0233 0.5866
Ga8 0.9767 0.2278 0.9134
S1 0.0326 0.9674 0.2500
S2 0.0343 0.6130 0.2336
S3 0.1617 0.2531 0.0884
S4 0.1842 0.7385 0.9417
S5 0.2412 0.4778 0.5378
S6 0.2531 0.1617 0.5884
S7 0.2615 0.8158 0.5583
S8 0.3870 0.9657 0.2664
S9 0.4003 0.5997 0.2500
S10 0.4778 0.2412 0.0378
S11 0.5222 0.7588 0.9622
S12 0.5997 0.4003 0.7500
S13 0.6130 0.0343 0.7336
S14 0.7385 0.1842 0.4417
S15 0.7469 0.8383 0.4116
S16 0.7588 0.5222 0.4622
S17 0.8158 0.2615 0.0583
S18 0.8383 0.7469 0.9116
S19 0.9657 0.3870 0.7664
S20 0.9674 0.0326 0.7500
```


# 4
The following is a computed powder X-ray diffraction pattern of Ba2GaSbS5. It was derived from a structure optimized by DFT (GGA-PBE), using CuKα.
Neutral-atom scattering factors, no anomalous dispersion.

Top 10 peaks for 2θ = 10–90°, by angle:
20.63 deg, I 19
23.29 deg, I 21
23.69 deg, I 42
24.61 deg, I 31
26.48 deg, I 23
28.81 deg, I 100
30.57 deg, I 37
40.41 deg, I 26
41.98 deg, I 35
43.00 deg, I 22

Structural model:
```
data_Ba2GaSbS5
_symmetry_space_group_name_H-M 'P 1'
_symmetry_Int_Tables_number 1
_symmetry_space_group_name_Hall 'P 1'
_cell_length_a 12.3460
_cell_length_b 8.9292
_cell_length_c 9.1855
_cell_angle_alpha 90.00
_cell_angle_beta 90.00
_cell_angle_gamma 90.00
loop_
_atom_site_label
_atom_site_fract_x
_atom_site_fract_y
_atom_site_fract_z
Ba1 0.1764 0.0058 0.1229
Ba2 0.1764 0.4942 0.1229
Ba3 0.3236 0.5058 0.6229
Ba4 0.3236 0.9942 0.6229
Ba5 0.6764 0.0058 0.3771
Ba6 0.6764 0.4942 0.3771
Ba7 0.8236 0.5058 0.8771
Ba8 0.8236 0.9942 0.8771
Ga1 0.0950 0.7500 0.8267
Ga2 0.4050 0.2500 0.3267
Ga3 0.5950 0.7500 0.6733
Ga4 0.9050 0.2500 0.1733
Sb1 0.0231 0.7500 0.4774
Sb2 0.4769 0.2500 0.9774
Sb3 0.5231 0.7500 0.0226
Sb4 0.9769 0.2500 0.5226
S1 0.0081 0.2500 0.9736
S2 0.0553 0.5503 0.6717
S3 0.0553 0.9497 0.6717
S4 0.2094 0.7500 0.3829
S5 0.2267 0.2500 0.3822
S6 0.2733 0.7500 0.8822
S7 0.2906 0.2500 0.8829
S8 0.4447 0.0503 0.1717
S9 0.4447 0.4497 0.1717
S10 0.4919 0.7500 0.4736
S11 0.5081 0.2500 0.5264
S12 0.5553 0.5503 0.8283
S13 0.5553 0.9497 0.8283
S14 0.7094 0.7500 0.1171
S15 0.7267 0.2500 0.1178
S16 0.7733 0.7500 0.6178
S17 0.7906 0.2500 0.6171
S18 0.9447 0.0503 0.3283
S19 0.9447 0.4497 0.3283
S20 0.9919 0.7500 0.0264
```


# 5
The following is a computed powder X-ray diffraction pattern of BaTmGaS4. It was derived from a structure optimized by DFT (GGA-PBE), using CuKα.
Neutral-atom scattering factors, no anomalous dispersion.

Top 10 peaks for 2θ = 10–90°, by angle:
11.00 deg, I 43
19.43 deg, I 100
25.80 deg, I 46
26.08 deg, I 41
26.45 deg, I 83
30.61 deg, I 39
32.77 deg, I 83
33.45 deg, I 81
39.46 deg, I 61
42.88 deg, I 45

Structural model:
```
data_BaTmGaS4
_symmetry_space_group_name_H-M 'P 1'
_symmetry_Int_Tables_number 1
_symmetry_space_group_name_Hall 'P 1'
_cell_length_a 6.5144
_cell_length_b 6.7388
_cell_length_c 8.4334
_cell_angle_alpha 90.00
_cell_angle_beta 107.52
_cell_angle_gamma 90.00
loop_
_atom_site_label
_atom_site_fract_x
_atom_site_fract_y
_atom_site_fract_z
Ba1 0.2485 0.2500 0.4394
Ba2 0.7515 0.7500 0.5606
Tm1 0.2811 0.2500 0.9479
Tm2 0.7189 0.7500 0.0521
Ga1 0.2645 0.7500 0.1704
Ga2 0.7355 0.2500 0.8296
S1 0.0381 0.7500 0.9121
S2 0.0653 0.7500 0.3485
S3 0.4927 0.5060 0.7872
S4 0.4927 0.9940 0.7872
S5 0.5073 0.0060 0.2128
S6 0.5073 0.4940 0.2128
S7 0.9347 0.2500 0.6515
S8 0.9619 0.2500 0.0879
```


# 6
The following is a computed powder X-ray diffraction pattern of BaYGaS4. It was derived from a structure optimized by DFT (GGA-PBE), using CuKα.
Neutral-atom scattering factors, no anomalous dispersion.

Top 10 peaks for 2θ = 10–90°, by angle:
19.34 deg, I 72
25.73 deg, I 49
25.99 deg, I 41
26.43 deg, I 98
30.40 deg, I 42
32.62 deg, I 97
33.25 deg, I 100
34.67 deg, I 39
39.25 deg, I 71
42.75 deg, I 51

Structural model:
```
data_BaYGaS4
_symmetry_space_group_name_H-M 'P 1'
_symmetry_Int_Tables_number 1
_symmetry_space_group_name_Hall 'P 1'
_cell_length_a 6.5695
_cell_length_b 6.7448
_cell_length_c 8.4614
_cell_angle_alpha 90.00
_cell_angle_beta 107.51
_cell_angle_gamma 90.00
loop_
_atom_site_label
_atom_site_fract_x
_atom_site_fract_y
_atom_site_fract_z
Ba1 0.2459 0.2500 0.4381
Ba2 0.7541 0.7500 0.5619
Y1 0.2785 0.2500 0.9471
Y2 0.7215 0.7500 0.0529
Ga1 0.2659 0.7500 0.1734
Ga2 0.7341 0.2500 0.8266
S1 0.0460 0.7500 0.9130
S2 0.0678 0.7500 0.3510
S3 0.4943 0.5061 0.7831
S4 0.4943 0.9939 0.7831
S5 0.5057 0.0061 0.2169
S6 0.5057 0.4939 0.2169
S7 0.9322 0.2500 0.6490
S8 0.9540 0.2500 0.0870
```